Theoretical powder X-ray diffraction pattern
Compound: K2CdSnSb2
Radiation: Cu Kα (weighted mean of Kα1 and Kα2)
Structure: DFT lattice parameters and positions (PBE)
Kinematic intensities with the Lorentz-polarization factor, no thermal factor.

Structural model:
```
K2CdSnSb2
1.0
-3.6856 7.8077 3.7924
3.6856 -7.8077 3.7924
3.6856 7.8077 -3.7924
K Cd Sn Sb
4 2 2 4
Direct
0.1673 0.2457 0.4130
0.3327 0.7457 0.0783
0.6673 0.2543 0.9217
0.8327 0.7543 0.5870
0.2500 0.2500 0.0000
0.7500 0.7500 0.0000
0.2500 0.7500 0.5000
0.7500 0.2500 0.5000
0.0984 0.7574 0.8558
0.4016 0.2574 0.6590
0.5984 0.7426 0.3410
0.9016 0.2426 0.1442
```

The 8 most intense peaks (5° ≤ 2θ ≤ 70°), sorted by position:
d (Å)  intensity
7.808  100
4.377  36
3.140  32
2.720  48
2.680  46
2.643  64
2.503  26
1.548  17